[1]
Diffraction record for Pr2SI4. The powder X-ray diffraction pattern is theoretical, not measured: it uses a GGA-PBE-relaxed structure and λ = 1.5418 Å (Cu Kα).

Peak list (10 most intense, 2θ from 10° to 80°, in order of falling intensity)
2theta  intensity
14.47  100.0
35.71  42.5
35.08  37.2
26.86  35.2
26.56  32.3
28.90  31.7
29.65  26.4
18.34  21.8
44.41  18.0
33.39  15.9

Structure:
```
Pr2SI4
1.0
13.685 0.000 0.000
0.000 13.685 0.000
0.000 0.000 4.013
Pr S I
4 2 8
direct
0.108 0.108 0.000 Pr
0.392 0.608 0.500 Pr
0.608 0.392 0.500 Pr
0.892 0.892 0.000 Pr
0.000 0.000 0.500 S
0.500 0.500 0.000 S
0.065 0.280 0.500 I
0.220 0.565 0.000 I
0.280 0.065 0.500 I
0.435 0.780 0.000 I
0.565 0.220 0.000 I
0.720 0.935 0.500 I
0.780 0.435 0.000 I
0.935 0.720 0.500 I
```

=====

[2]
Diffraction record for KBr2O6. The powder X-ray diffraction pattern is theoretical, not measured: it uses a GGA-PBE-relaxed structure and λ = 1.5418 Å (Cu Kα).

Peak list (10 most intense, 2θ from 10° to 80°, in order of falling intensity)
2theta  intensity
25.40  100.0
26.65  94.2
27.55  35.1
15.74  27.5
34.60  26.4
39.56  22.3
22.04  21.0
27.82  19.1
31.13  18.9
44.96  16.9

Structure:
```
KBr2O6
1.0
6.825 -3.206 0.000
6.825 3.206 0.000
-4.358 0.000 7.396
K Br O
2 4 12
direct
0.054 0.946 0.750 K
0.946 0.054 0.250 K
0.293 0.384 0.914 Br
0.384 0.293 0.414 Br
0.616 0.707 0.586 Br
0.707 0.616 0.086 Br
0.054 0.362 0.818 O
0.193 0.673 0.985 O
0.273 0.445 0.597 O
0.327 0.807 0.515 O
0.362 0.054 0.318 O
0.445 0.273 0.097 O
0.555 0.727 0.903 O
0.638 0.946 0.682 O
0.673 0.193 0.485 O
0.727 0.555 0.403 O
0.807 0.327 0.015 O
0.946 0.638 0.182 O
```

=====

[3]
Diffraction record for Ba6Sn2AuN. The powder X-ray diffraction pattern is theoretical, not measured: it uses a GGA-PBE-relaxed structure and λ = 1.5418 Å (Cu Kα).

Peak list (10 most intense, 2θ from 10° to 80°, in order of falling intensity)
2theta  intensity
30.47  100.0
26.31  84.1
43.62  58.4
51.67  33.3
33.28  23.9
54.15  23.5
15.10  21.0
25.17  19.5
72.00  14.2
21.42  13.4

Structure:
```
Ba6Sn2AuN
1.0
8.291 0.000 0.000
0.000 11.730 0.000
0.000 0.000 8.310
Ba Sn Au N
12 4 2 2
direct
0.015 0.250 0.031 Ba
0.021 0.250 0.492 Ba
0.250 0.019 0.259 Ba
0.250 0.481 0.259 Ba
0.479 0.250 0.492 Ba
0.485 0.250 0.031 Ba
0.515 0.750 0.969 Ba
0.521 0.750 0.508 Ba
0.750 0.519 0.741 Ba
0.750 0.981 0.741 Ba
0.979 0.750 0.508 Ba
0.985 0.750 0.969 Ba
0.250 0.501 0.746 Sn
0.250 0.999 0.746 Sn
0.750 0.001 0.254 Sn
0.750 0.499 0.254 Sn
0.250 0.750 0.241 Au
0.750 0.250 0.759 Au
0.250 0.250 0.258 N
0.750 0.750 0.742 N
```

=====

[4]
Diffraction record for Pa2CdI11. The powder X-ray diffraction pattern is theoretical, not measured: it uses a GGA-PBE-relaxed structure and λ = 1.5418 Å (Cu Kα).

Peak list (10 most intense, 2θ from 10° to 80°, in order of falling intensity)
2theta  intensity
13.40  100.0
26.67  56.1
11.30  44.7
19.71  43.4
27.21  32.8
27.96  31.2
40.03  29.3
23.47  25.1
38.79  19.2
35.30  19.1

Structure:
```
Pa2CdI11
1.0
-5.767 9.402 7.829
5.767 -9.402 7.829
5.767 9.402 -7.829
Pa Cd I
4 2 22
direct
0.083 0.234 0.316 Pa
0.417 0.734 0.151 Pa
0.583 0.266 0.849 Pa
0.917 0.766 0.684 Pa
0.250 0.750 0.500 Cd
0.750 0.250 0.500 Cd
0.000 0.000 0.000 I
0.029 0.003 0.310 I
0.094 0.445 0.282 I
0.159 0.451 0.609 I
0.163 0.812 0.718 I
0.193 0.503 0.974 I
0.307 0.281 0.310 I
0.337 0.055 0.649 I
0.341 0.951 0.292 I
0.406 0.688 0.351 I
0.471 0.781 0.974 I
0.500 0.500 0.000 I
0.529 0.219 0.026 I
0.594 0.312 0.649 I
0.659 0.049 0.708 I
0.663 0.945 0.351 I
0.693 0.719 0.690 I
0.807 0.497 0.026 I
0.837 0.188 0.282 I
0.841 0.549 0.391 I
0.906 0.555 0.718 I
0.971 0.997 0.690 I
```

=====

[5]
Diffraction record for Pm2Dy2Sb3. The powder X-ray diffraction pattern is theoretical, not measured: it uses a GGA-PBE-relaxed structure and λ = 1.5418 Å (Cu Kα).

Peak list (10 most intense, 2θ from 10° to 80°, in order of falling intensity)
2theta  intensity
30.34  100.0
36.07  67.8
61.34  25.1
49.91  23.5
47.83  17.9
64.86  14.7
74.90  14.6
63.11  12.1
43.44  9.8
45.67  8.4

Structure:
```
Pm2Dy2Sb3
1.0
-4.658 4.658 4.658
4.658 -4.658 4.658
4.658 4.658 -4.658
Pm Dy Sb
4 4 6
direct
0.000 0.353 0.500 Pm
0.147 0.147 0.147 Pm
0.353 0.500 0.000 Pm
0.500 0.000 0.353 Pm
0.000 0.860 0.500 Dy
0.500 0.000 0.860 Dy
0.640 0.640 0.640 Dy
0.860 0.500 0.000 Dy
0.119 0.750 0.869 Sb
0.250 0.631 0.381 Sb
0.381 0.250 0.631 Sb
0.631 0.381 0.250 Sb
0.750 0.869 0.119 Sb
0.869 0.119 0.750 Sb
```

=====

[6]
Diffraction record for Ca3Si23. The powder X-ray diffraction pattern is theoretical, not measured: it uses a GGA-PBE-relaxed structure and λ = 1.5418 Å (Cu Kα).

Peak list (10 most intense, 2θ from 10° to 80°, in order of falling intensity)
2theta  intensity
32.85  100.0
52.30  76.9
30.36  63.1
31.63  59.5
55.54  47.3
36.31  23.7
53.93  21.5
53.12  19.3
35.19  14.5
21.34  14.4

Structure:
```
Ca3Si23
1.0
10.200 0.000 0.000
0.000 10.200 0.000
0.000 0.000 10.200
Ca Si
6 46
direct
0.000 0.250 0.500 Ca
0.000 0.750 0.500 Ca
0.250 0.500 0.000 Ca
0.500 0.000 0.250 Ca
0.500 0.000 0.750 Ca
0.750 0.500 0.000 Ca
0.000 0.307 0.118 Si
0.000 0.307 0.882 Si
0.000 0.500 0.250 Si
0.000 0.500 0.750 Si
0.000 0.693 0.118 Si
0.000 0.693 0.882 Si
0.118 0.000 0.307 Si
0.118 0.000 0.693 Si
0.184 0.184 0.184 Si
0.184 0.184 0.816 Si
0.184 0.816 0.184 Si
0.184 0.816 0.816 Si
0.193 0.500 0.382 Si
0.193 0.500 0.618 Si
0.250 0.000 0.500 Si
0.307 0.118 0.000 Si
0.307 0.882 0.000 Si
0.316 0.316 0.316 Si
0.316 0.316 0.684 Si
0.316 0.684 0.316 Si
0.316 0.684 0.684 Si
0.382 0.193 0.500 Si
0.382 0.807 0.500 Si
0.500 0.250 0.000 Si
0.500 0.382 0.193 Si
0.500 0.382 0.807 Si
0.500 0.618 0.193 Si
0.500 0.618 0.807 Si
0.500 0.750 0.000 Si
0.618 0.193 0.500 Si
0.618 0.807 0.500 Si
0.684 0.316 0.316 Si
0.684 0.316 0.684 Si
0.684 0.684 0.316 Si
0.684 0.684 0.684 Si
0.693 0.118 0.000 Si
0.693 0.882 0.000 Si
0.750 0.000 0.500 Si
0.807 0.500 0.382 Si
0.807 0.500 0.618 Si
0.816 0.184 0.184 Si
0.816 0.184 0.816 Si
0.816 0.816 0.184 Si
0.816 0.816 0.816 Si
0.882 0.000 0.307 Si
0.882 0.000 0.693 Si
```

=====

[7]
Diffraction record for Si3H9N. The powder X-ray diffraction pattern is theoretical, not measured: it uses a GGA-PBE-relaxed structure and λ = 1.5418 Å (Cu Kα).

Peak list (10 most intense, 2θ from 10° to 80°, in order of falling intensity)
2theta  intensity
14.48  100.0
21.00  96.5
14.71  41.7
22.71  40.2
23.06  37.4
29.05  24.5
26.02  21.0
41.88  14.7
28.17  14.4
31.44  13.6

Structure:
```
Si3H9N
1.0
7.081 0.000 0.000
-3.463 6.237 0.000
-1.354 -1.722 8.459
Si H N
6 18 2
direct
0.086 0.287 0.285 Si
0.214 0.938 0.268 Si
0.271 0.192 0.795 Si
0.729 0.808 0.205 Si
0.786 0.062 0.732 Si
0.914 0.713 0.715 Si
0.123 0.705 0.738 H
0.195 0.800 0.389 H
0.196 0.812 0.114 H
0.215 0.402 0.170 H
0.224 0.404 0.448 H
0.282 0.408 0.807 H
0.385 0.168 0.671 H
0.390 0.184 0.949 H
0.434 0.145 0.315 H
0.566 0.855 0.685 H
0.610 0.816 0.051 H
0.615 0.832 0.329 H
0.718 0.592 0.193 H
0.776 0.596 0.552 H
0.785 0.598 0.830 H
0.804 0.188 0.886 H
0.805 0.200 0.611 H
0.877 0.295 0.262 H
0.010 0.011 0.253 N
0.990 0.989 0.747 N
```

=====

[8]
Diffraction record for LiTi3Zn2O8. The powder X-ray diffraction pattern is theoretical, not measured: it uses a GGA-PBE-relaxed structure and λ = 1.5418 Å (Cu Kα).

Peak list (10 most intense, 2θ from 10° to 80°, in order of falling intensity)
2theta  intensity
35.05  100.0
29.76  55.7
61.80  44.5
56.29  37.3
52.81  20.5
23.42  11.9
73.07  10.2
70.08  8.1
14.75  7.7
42.58  7.1

Structure:
```
LiTi3Zn2O8
1.0
8.492 0.000 0.000
0.000 8.492 0.000
0.000 0.000 8.492
Li Ti Zn O
4 12 8 32
direct
0.125 0.375 0.625 Li
0.375 0.625 0.125 Li
0.625 0.125 0.375 Li
0.875 0.875 0.875 Li
0.122 0.125 0.872 Ti
0.125 0.872 0.122 Ti
0.128 0.622 0.375 Ti
0.372 0.378 0.875 Ti
0.375 0.128 0.622 Ti
0.378 0.875 0.372 Ti
0.622 0.375 0.128 Ti
0.625 0.628 0.878 Ti
0.628 0.878 0.625 Ti
0.872 0.122 0.125 Ti
0.875 0.372 0.378 Ti
0.878 0.625 0.628 Ti
0.001 0.501 0.999 Zn
0.249 0.749 0.751 Zn
0.251 0.251 0.251 Zn
0.499 0.499 0.499 Zn
0.501 0.999 0.001 Zn
0.749 0.751 0.249 Zn
0.751 0.249 0.749 Zn
0.999 0.001 0.501 Zn
0.106 0.628 0.611 O
0.111 0.394 0.372 O
0.115 0.115 0.115 O
0.122 0.644 0.139 O
0.128 0.889 0.894 O
0.135 0.865 0.365 O
0.139 0.122 0.644 O
0.144 0.361 0.878 O
0.356 0.639 0.378 O
0.361 0.878 0.144 O
0.365 0.135 0.865 O
0.372 0.111 0.394 O
0.378 0.356 0.639 O
0.385 0.885 0.615 O
0.389 0.606 0.872 O
0.394 0.372 0.111 O
0.606 0.872 0.389 O
0.611 0.106 0.628 O
0.615 0.385 0.885 O
0.622 0.856 0.861 O
0.628 0.611 0.106 O
0.635 0.635 0.635 O
0.639 0.378 0.356 O
0.644 0.139 0.122 O
0.856 0.861 0.622 O
0.861 0.622 0.856 O
0.865 0.365 0.135 O
0.872 0.389 0.606 O
0.878 0.144 0.361 O
0.885 0.615 0.385 O
0.889 0.894 0.128 O
0.894 0.128 0.889 O
```

=====

[9]
Diffraction record for Na3Tl2Hg3. The powder X-ray diffraction pattern is theoretical, not measured: it uses a GGA-PBE-relaxed structure and λ = 1.5418 Å (Cu Kα).

Peak list (10 most intense, 2θ from 10° to 80°, in order of falling intensity)
2theta  intensity
32.91  100.0
32.80  100.0
21.59  43.8
35.86  41.4
35.02  36.9
43.05  25.1
22.06  23.8
21.95  22.5
57.24  21.8
72.45  21.1

Structure:
```
Na3Tl2Hg3
1.0
21.078 0.000 0.000
0.000 4.202 0.000
-1.163 0.000 4.871
Na Tl Hg
6 4 6
direct
0.000 0.000 0.000 Na
0.125 0.000 0.622 Na
0.375 0.500 0.378 Na
0.500 0.500 0.000 Na
0.625 0.500 0.622 Na
0.875 0.000 0.378 Na
0.240 0.000 0.241 Tl
0.260 0.500 0.759 Tl
0.740 0.500 0.241 Tl
0.760 0.000 0.759 Tl
0.000 0.500 0.500 Hg
0.115 0.500 0.111 Hg
0.385 0.000 0.889 Hg
0.500 0.000 0.500 Hg
0.615 0.000 0.111 Hg
0.885 0.500 0.889 Hg
```

=====

[10]
Diffraction record for Pr2Nd2Ir3. The powder X-ray diffraction pattern is theoretical, not measured: it uses a GGA-PBE-relaxed structure and λ = 1.5418 Å (Cu Kα).

Peak list (10 most intense, 2θ from 10° to 80°, in order of falling intensity)
2theta  intensity
31.74  100.0
37.76  53.8
64.43  26.8
52.33  24.9
78.92  20.8
45.51  17.3
47.86  13.2
68.18  11.2
50.13  10.7
24.46  10.7

Structure:
```
Pr2Nd2Ir3
1.0
-4.457 4.457 4.457
4.457 -4.457 4.457
4.457 4.457 -4.457
Pr Nd Ir
4 4 6
direct
0.000 0.126 0.500 Pr
0.126 0.500 0.000 Pr
0.374 0.374 0.374 Pr
0.500 0.000 0.126 Pr
0.000 0.624 0.500 Nd
0.500 0.000 0.624 Nd
0.624 0.500 0.000 Nd
0.876 0.876 0.876 Nd
0.120 0.870 0.250 Ir
0.250 0.120 0.870 Ir
0.380 0.630 0.750 Ir
0.630 0.750 0.380 Ir
0.750 0.380 0.630 Ir
0.870 0.250 0.120 Ir
```